This entry pairs a crystal structure of K2RbTm2F7 with its theoretical powder diffractogram. Radiation: Cu Kα (λ = 1.5418 Å). Structure: a structure optimized by DFT (GGA-PBE).

Atomic structure:
```
K2RbTm2F7
1.0
-2.128 2.128 11.668
2.128 -2.128 11.668
2.128 2.128 -11.668
K Rb Tm F
2 1 2 7
Direct
0.204 0.204 0.000
0.796 0.796 0.000
0.000 0.000 0.000
0.402 0.402 0.000
0.598 0.598 0.000
0.077 0.577 0.500
0.313 0.313 0.000
0.423 0.923 0.500
0.500 0.500 0.000
0.577 0.077 0.500
0.687 0.687 0.000
0.923 0.423 0.500
```

Principal peaks in the range 2θ from 15° to 90°, low angle first:
21.2°, d 4.187, I = 41; 23.8°, d 3.734, I = 13; 28.4°, d 3.145, I = 100; 29.7°, d 3.010, I = 53; 38.6°, d 2.334, I = 17; 42.5°, d 2.128, I = 34; 47.9°, d 1.898, I = 18; 49.4°, d 1.844, I = 30; 51.9°, d 1.763, I = 38; 58.7°, d 1.572, I = 19